No. 1
# LuZn4Pt
Theoretical powder X-ray diffraction pattern, copper Kα. Input: a cell relaxed with PBE.
Peak positions follow from Bragg's law for the DFT cell and can differ from measured ones.

Most intense lines, 15 to 90 degrees two-theta, by angle:
Position (°2θ), I/Imax
21.18, 15
34.92, 65
41.20, 100
43.13, 15
62.63, 24
66.91, 31
73.76, 23
84.29, 11
88.17, 11
89.46, 5

Crystal structure
```
data_LuZn4Pt
_chemical_formula_sum 'Lu4 Zn16 Pt4'
_symmetry_space_group_name_H-M 'F -4 3 m'
_symmetry_Int_Tables_number 216
_symmetry_space_group_name_Hall 'F -4 2 3'
_cell_length_a 7.2665
_cell_length_b 7.2665
_cell_length_c 7.2665
_cell_angle_alpha 90.00
_cell_angle_beta 90.00
_cell_angle_gamma 90.00
loop_
_atom_site_label
_atom_site_type_symbol
_atom_site_fract_x
_atom_site_fract_y
_atom_site_fract_z
Lu1 Lu 0.0000 0.0000 0.0000
Zn1 Zn 0.1246 0.1246 0.3754
Pt1 Pt 0.2500 0.2500 0.7500
```


No. 2
# TePb5
Theoretical powder X-ray diffraction pattern, copper Kα. Input: a cell relaxed with PBE.
Peak positions follow from Bragg's law for the DFT cell and can differ from measured ones.

Most intense lines, 15 to 90 degrees two-theta, by angle:
Position (°2θ), I/Imax
29.06, 34
31.32, 51
32.53, 36
32.94, 68
33.22, 100
43.50, 16
51.15, 28
60.62, 16
61.69, 15
62.40, 17

Crystal structure
```
data_TePb5
_chemical_formula_sum 'Te2 Pb10'
_symmetry_space_group_name_H-M 'C 1 m 1'
_symmetry_Int_Tables_number 8
_cell_length_a 12.8840
_cell_length_b 3.5371
_cell_length_c 8.5308
_cell_angle_alpha 90.00
_cell_angle_beta 104.52
_cell_angle_gamma 90.00
loop_
_symmetry_equiv_pos_as_xyz
'x,y,z'
'x,-y,z'
'x+1/2,y+1/2,z'
'x+1/2,-y+1/2,z'
loop_
_atom_site_label
_atom_site_type_symbol
_atom_site_fract_x
_atom_site_fract_y
_atom_site_fract_z
Te1 Te 0.0000 0.0000 0.0000
Pb1 Pb 0.1056 0.5000 0.7248
Pb2 Pb 0.1750 0.5000 0.3355
Pb3 Pb 0.2748 0.0000 0.0477
Pb4 Pb 0.3299 0.0000 0.6564
Pb5 Pb 0.4527 0.5000 0.3792
```